# Cs3TlW2O8
Simulated powder diffraction line list, a wavelength of 1.5418 Å. Input: a structure optimized by DFT (GGA+U).
Intensities are scaled so that the largest is 100.

Structural model:
```
data_Cs3TlW2O8
_symmetry_space_group_name_H-M 'P -3 m 1'
_symmetry_Int_Tables_number 164
_symmetry_space_group_name_Hall '-P 3 2"'
_cell_length_a 6.7253
_cell_length_b 6.7253
_cell_length_c 8.6255
_cell_angle_alpha 90.00
_cell_angle_beta 90.00
_cell_angle_gamma 120.00
loop_
_atom_site_label
_atom_site_fract_x
_atom_site_fract_y
_atom_site_fract_z
_atom_site_occupancy
Cs1 0.0000 0.0000 0.0000 1
Cs2 0.3333 0.6667 0.6712 1
Tl1 0.0000 0.0000 0.5000 1
W1 0.3333 0.6667 0.2128 1
O1 0.1863 0.3726 0.2865 1
O2 0.3333 0.6667 0.0036 1
```

Largest 10 diffraction maxima, by angle, 10 to 90 degrees two-theta:
2θ/deg  I/Imax
18.38  13
25.70  92
26.51  100
37.26  43
44.82  13
46.31  36
46.79  21
54.58  16
60.06  13
61.28  17